# 1
Starting from a structure optimized by DFT (GGA-PBE), the X-ray powder pattern of MgSeO9 was computed for CuKα.
Neutral-atom scattering factors, no anomalous dispersion.

Largest 10 diffraction maxima, most intense first, 2θ = 10–90°:
2θ/deg	I_rel
33.60	100
22.27	76
27.92	62
24.83	58
32.01	46
16.62	36
52.48	34
61.46	24
50.94	19
45.45	19

Cell and atoms:
```
MgSeO9
1.0
3.9912 2.3043 2.7956
-3.9912 2.3043 2.7956
0.0000 -4.6086 2.7956
Mg Se O
1 1 9
Direct
0.0000 0.0000 0.0000
0.5082 0.5082 0.5082
0.0428 0.0475 0.4132
0.0475 0.4132 0.0428
0.2376 0.6202 0.5307
0.4132 0.0428 0.0475
0.5307 0.2376 0.6202
0.5915 0.9222 0.9829
0.6202 0.5307 0.2376
0.9222 0.9829 0.5915
0.9829 0.5915 0.9222
```

---

# 2
Starting from a structure optimized by DFT (GGA-PBE), the X-ray powder pattern of MgSeO4 was computed for CuKα.
Neutral-atom scattering factors, no anomalous dispersion.

Largest 10 diffraction maxima, most intense first, 2θ = 10–90°:
2θ/deg	I_rel
23.51	100
25.17	59
33.19	41
36.17	27
32.54	22
62.40	20
41.57	16
46.26	11
26.73	11
73.95	10

Cell and atoms:
```
MgSeO4
1.0
2.7518 -4.1747 0.0000
2.7518 4.1747 0.0000
0.0000 0.0000 6.6707
Mg Se O
2 2 8
Direct
0.0000 0.0000 0.0000
0.0000 0.0000 0.5000
0.3494 0.6506 0.7500
0.6506 0.3494 0.2500
0.2208 0.2818 0.7500
0.2425 0.7575 0.5421
0.2425 0.7575 0.9579
0.2818 0.2208 0.2500
0.7182 0.7792 0.7500
0.7575 0.2425 0.0421
0.7575 0.2425 0.4579
0.7792 0.7182 0.2500
```

---

# 3
Starting from a structure optimized by DFT (GGA-PBE), the X-ray powder pattern of MgZn4Se8O20 was computed for CuKα.
Neutral-atom scattering factors, no anomalous dispersion.

Largest 10 diffraction maxima, most intense first, 2θ = 10–90°:
2θ/deg	I_rel
30.64	100
24.18	88
31.75	81
27.89	79
24.55	75
30.13	73
25.60	70
28.32	61
26.38	61
30.91	55

Cell and atoms:
```
MgZn4Se8O20
1.0
6.3323 0.0000 0.0000
-0.2582 6.8356 0.0000
-0.9555 -0.1442 10.9377
Mg Zn Se O
1 4 8 20
Direct
0.0000 0.0000 0.0000
0.2943 0.6985 0.4313
0.4053 0.2186 0.9470
0.8110 0.6656 0.2953
0.8404 0.2489 0.7971
0.0307 0.0778 0.2584
0.0416 0.5323 0.0539
0.0738 0.8285 0.7246
0.5067 0.5813 0.7272
0.5089 0.3124 0.2428
0.5457 0.8430 0.0461
0.5527 0.0774 0.5536
0.9960 0.3387 0.5325
0.9998 0.5435 0.4425
0.0178 0.3174 0.9559
0.0959 0.8294 0.2976
0.1030 0.0318 0.8222
0.1879 0.9043 0.6009
0.2715 0.2192 0.3189
0.3021 0.6874 0.8101
0.3153 0.9762 0.0511
0.3773 0.5062 0.5932
0.4137 0.3807 0.1003
0.5139 0.5369 0.3187
0.5328 0.3623 0.8113
0.5605 0.8701 0.4680
0.6707 0.8857 0.1903
0.6730 0.0338 0.9676
0.7177 0.0243 0.6812
0.7367 0.2349 0.4690
0.8825 0.4584 0.1661
0.8978 0.7058 0.9730
0.9210 0.4337 0.6667
```

---

# 4
Starting from a structure optimized by DFT (GGA-PBE), the X-ray powder pattern of MgZn4Se8O20 was computed for CuKα.
Neutral-atom scattering factors, no anomalous dispersion.

Largest 10 diffraction maxima, most intense first, 2θ = 10–90°:
2θ/deg	I_rel
25.13	100
25.62	95
29.32	59
28.82	53
45.83	44
20.12	43
30.85	38
30.18	38
30.31	35
31.27	30

Cell and atoms:
```
MgZn4Se8O20
1.0
6.4390 0.0000 0.0000
0.0000 10.2997 0.0000
-0.2601 0.0000 7.1933
Mg Zn Se O
1 4 8 20
Direct
0.0000 0.0000 0.0000
0.0000 0.2080 0.5000
0.0000 0.6898 0.0000
0.5000 0.3120 0.5000
0.5000 0.8243 0.0000
0.2053 0.4186 0.8672
0.2112 0.9223 0.6537
0.2941 0.6030 0.3591
0.3360 0.1231 0.1809
0.6640 0.1231 0.8191
0.7059 0.6030 0.6409
0.7888 0.9223 0.3463
0.7947 0.4186 0.1328
0.0000 0.3308 0.0000
0.0000 0.8435 0.5000
0.0772 0.5585 0.8036
0.0815 0.0555 0.7291
0.1770 0.8423 0.8733
0.1885 0.3348 0.6649
0.2892 0.1651 0.4244
0.3096 0.6912 0.1554
0.4149 0.4612 0.3071
0.4661 0.9720 0.2064
0.5000 0.2041 0.0000
0.5000 0.6921 0.5000
0.5339 0.9720 0.7936
0.5851 0.4612 0.6929
0.6904 0.6912 0.8446
0.7108 0.1651 0.5756
0.8115 0.3348 0.3351
0.8230 0.8423 0.1267
0.9185 0.0555 0.2709
0.9228 0.5585 0.1964
```

---

# 5
Starting from a structure optimized by DFT (GGA-PBE), the X-ray powder pattern of MgZn4Se8O20 was computed for CuKα.
Neutral-atom scattering factors, no anomalous dispersion.

Largest 10 diffraction maxima, most intense first, 2θ = 10–90°:
2θ/deg	I_rel
25.41	100
28.50	75
23.55	64
31.30	59
26.14	55
26.72	44
30.98	43
33.14	35
21.11	35
32.66	34

Cell and atoms:
```
MgZn4Se8O20
1.0
6.2745 0.0000 0.0000
0.2890 6.9388 0.0000
0.7937 0.8242 10.9614
Mg Zn Se O
1 4 8 20
Direct
0.0000 0.0000 0.0000
0.2023 0.0744 0.6794
0.2731 0.6492 0.2059
0.7171 0.0579 0.7955
0.7619 0.6286 0.3215
0.0268 0.9875 0.4120
0.0447 0.6546 0.8702
0.0632 0.2957 0.1341
0.4624 0.2481 0.4204
0.5094 0.7420 0.5961
0.5192 0.9833 0.1023
0.5325 0.4763 0.9134
0.9447 0.4684 0.5984
0.0320 0.9289 0.8219
0.0566 0.7823 0.3350
0.1248 0.9024 0.5479
0.2654 0.1210 0.3404
0.2751 0.8981 0.0665
0.3032 0.5806 0.8095
0.3180 0.2994 0.5529
0.4114 0.4779 0.0535
0.4590 0.4641 0.3338
0.5038 0.2456 0.8724
0.5116 0.9443 0.6857
0.5564 0.7917 0.2112
0.6526 0.8184 0.4667
0.6980 0.9106 0.9823
0.7074 0.5923 0.6773
0.8397 0.4158 0.4677
0.8816 0.1237 0.1865
0.9248 0.2524 0.6887
0.9798 0.5228 0.1892
0.9936 0.3028 0.9824
```

---

# 6
Starting from a structure optimized by DFT (GGA-PBE), the X-ray powder pattern of Mg2SiO4 was computed for CuKα.
Neutral-atom scattering factors, no anomalous dispersion.

Largest 10 diffraction maxima, most intense first, 2θ = 10–90°:
2θ/deg	I_rel
36.30	100
52.28	100
35.89	64
16.52	61
51.05	47
76.09	47
50.15	39
40.12	30
65.04	28
64.25	27

Cell and atoms:
```
Mg2SiO4
1.0
-1.7499 1.7499 5.3668
1.7499 -1.7499 5.3668
1.7499 1.7499 -5.3668
Mg Si O
2 1 4
Direct
0.1501 0.1501 0.0000
0.8499 0.8499 0.0000
0.5000 0.5000 0.0000
0.0000 0.5000 0.5000
0.3330 0.3330 0.0000
0.5000 0.0000 0.5000
0.6670 0.6670 0.0000
```